Diffraction record for Hf12Tl3Cd. The X-ray powder pattern is simulated, not measured: it uses DFT lattice parameters and positions (PBE) and Cu Ka.
Neutral-atom scattering factors, no anomalous dispersion.

Main lines, in order of rising 2θ (2θ = 10–90°):
| hkl | 2θ (°) | I (rel.) |
| --- | --- | --- |
| 1 1 4 | 35.04 | 100 |
| 2 0 0 | 40.68 | 50 |
| 2 2 0 | 58.89 | 34 |
| 3 1 4 | 70.40 | 40 |
| 2 2 8 | 74.03 | 12 |
| 4 0 0 | 88.08 | 6 |

Crystal structure
```
data_Hf12Tl3Cd
_cell_length_a 4.4364
_cell_length_b 4.4364
_cell_length_c 17.7378
_cell_angle_alpha 90.00
_cell_angle_beta 90.00
_cell_angle_gamma 90.00
_symmetry_space_group_name_H-M 'P 4/m m m'
_symmetry_Int_Tables_number 123
_symmetry_space_group_name_Hall '-P 4 2'
loop_
_atom_site_label
_atom_site_type_symbol
_atom_site_fract_x
_atom_site_fract_y
_atom_site_fract_z
_atom_site_occupancy
Hf1 Hf 0.0000 0.0000 0.0000 1
Hf2 Hf 0.0000 0.0000 0.2492 1
Hf3 Hf 0.0000 0.0000 0.5000 1
Hf4 Hf 0.0000 0.5000 0.1235 1
Hf5 Hf 0.0000 0.5000 0.3746 1
Tl1 Tl 0.5000 0.5000 0.2488 1
Tl2 Tl 0.5000 0.5000 0.5000 1
Cd1 Cd 0.5000 0.5000 0.0000 1
```

***

Diffraction record for HfTl2Cd2. The X-ray powder pattern is simulated, not measured: it uses DFT lattice parameters and positions (PBE) and Cu Ka.
Neutral-atom scattering factors, no anomalous dispersion.

Main lines, in order of rising 2θ (2θ = 10–90°):
| hkl | 2θ (°) | I (rel.) |
| --- | --- | --- |
| 2 2 0 | 30.44 | 20 |
| 2 0 1 | 33.28 | 53 |
| 3 1 0 | 34.14 | 58 |
| 2 1 1 | 35.04 | 100 |
| 3 2 0 | 39.11 | 10 |
| 4 1 0 | 45.00 | 16 |
| 0 0 2 | 51.72 | 14 |
| 4 1 1 | 52.27 | 20 |
| 3 3 1 | 53.51 | 15 |
| 5 1 1 | 62.82 | 17 |
| 3 1 2 | 63.42 | 23 |
| 5 2 1 | 66.10 | 10 |

Crystal structure
```
data_HfTl2Cd2
_cell_length_a 8.3053
_cell_length_b 8.3053
_cell_length_c 3.5350
_cell_angle_alpha 90.00
_cell_angle_beta 90.00
_cell_angle_gamma 90.00
_symmetry_space_group_name_H-M 'P 4/m b m'
_symmetry_Int_Tables_number 127
_symmetry_space_group_name_Hall '-P 4 2ab'
loop_
_atom_site_label
_atom_site_type_symbol
_atom_site_fract_x
_atom_site_fract_y
_atom_site_fract_z
_atom_site_occupancy
Hf1 Hf 0.0000 0.0000 0.0000 1
Tl1 Tl 0.1783 0.3217 0.5000 1
Cd1 Cd 0.1243 0.6243 0.0000 1
```

***

Diffraction record for Hf4TlCd2. The X-ray powder pattern is simulated, not measured: it uses DFT lattice parameters and positions (PBE) and Cu Ka.
Neutral-atom scattering factors, no anomalous dispersion.

Main lines, in order of rising 2θ (2θ = 10–90°):
| hkl | 2θ (°) | I (rel.) |
| --- | --- | --- |
| 0 6 1 | 33.07 | 47 |
| 1 7 0 | 34.64 | 100 |
| 0 8 1 | 36.10 | 51 |
| 0 14 0 | 37.84 | 37 |
| 1 1 1 | 41.33 | 62 |
| 1 13 1 | 55.21 | 18 |
| 1 15 1 | 59.30 | 27 |
| 1 21 0 | 66.29 | 13 |
| 2 6 1 | 70.16 | 11 |
| 1 7 2 | 70.77 | 25 |
| 2 8 1 | 71.98 | 14 |
| 0 14 2 | 72.77 | 12 |

Crystal structure
```
data_Hf4TlCd2
_cell_length_a 3.0880
_cell_length_b 33.2817
_cell_length_c 3.1041
_cell_angle_alpha 90.00
_cell_angle_beta 90.00
_cell_angle_gamma 90.00
_symmetry_space_group_name_H-M 'C m m m'
_symmetry_Int_Tables_number 65
_symmetry_space_group_name_Hall '-C 2 2'
loop_
_atom_site_label
_atom_site_type_symbol
_atom_site_fract_x
_atom_site_fract_y
_atom_site_fract_z
_atom_site_occupancy
Hf1 Hf 0.0000 0.0744 0.0000 1
Hf2 Hf 0.0000 0.3615 0.5000 1
Tl1 Tl 0.0000 0.5000 0.5000 1
Cd1 Cd 0.0000 0.2110 0.0000 1
```

***

What did the first record say?
Diffraction record for Hf12Tl3Cd. The X-ray powder pattern is simulated, not measured: it uses DFT lattice parameters and positions (PBE) and Cu Ka.
Neutral-atom scattering factors, no anomalous dispersion.

Main lines, in order of rising 2θ (2θ = 10–90°):
| hkl | 2θ (°) | I (rel.) |
| --- | --- | --- |
| 1 1 4 | 35.04 | 100 |
| 2 0 0 | 40.68 | 50 |
| 2 2 0 | 58.89 | 34 |
| 3 1 4 | 70.40 | 40 |
| 2 2 8 | 74.03 | 12 |
| 4 0 0 | 88.08 | 6 |

Crystal structure
```
data_Hf12Tl3Cd
_cell_length_a 4.4364
_cell_length_b 4.4364
_cell_length_c 17.7378
_cell_angle_alpha 90.00
_cell_angle_beta 90.00
_cell_angle_gamma 90.00
_symmetry_space_group_name_H-M 'P 4/m m m'
_symmetry_Int_Tables_number 123
_symmetry_space_group_name_Hall '-P 4 2'
loop_
_atom_site_label
_atom_site_type_symbol
_atom_site_fract_x
_atom_site_fract_y
_atom_site_fract_z
_atom_site_occupancy
Hf1 Hf 0.0000 0.0000 0.0000 1
Hf2 Hf 0.0000 0.0000 0.2492 1
Hf3 Hf 0.0000 0.0000 0.5000 1
Hf4 Hf 0.0000 0.5000 0.1235 1
Hf5 Hf 0.0000 0.5000 0.3746 1
Tl1 Tl 0.5000 0.5000 0.2488 1
Tl2 Tl 0.5000 0.5000 0.5000 1
Cd1 Cd 0.5000 0.5000 0.0000 1
```

***

What did the third record say?
Diffraction record for Hf4TlCd2. The X-ray powder pattern is simulated, not measured: it uses DFT lattice parameters and positions (PBE) and Cu Ka.
Neutral-atom scattering factors, no anomalous dispersion.

Main lines, in order of rising 2θ (2θ = 10–90°):
| hkl | 2θ (°) | I (rel.) |
| --- | --- | --- |
| 0 6 1 | 33.07 | 47 |
| 1 7 0 | 34.64 | 100 |
| 0 8 1 | 36.10 | 51 |
| 0 14 0 | 37.84 | 37 |
| 1 1 1 | 41.33 | 62 |
| 1 13 1 | 55.21 | 18 |
| 1 15 1 | 59.30 | 27 |
| 1 21 0 | 66.29 | 13 |
| 2 6 1 | 70.16 | 11 |
| 1 7 2 | 70.77 | 25 |
| 2 8 1 | 71.98 | 14 |
| 0 14 2 | 72.77 | 12 |

Crystal structure
```
data_Hf4TlCd2
_cell_length_a 3.0880
_cell_length_b 33.2817
_cell_length_c 3.1041
_cell_angle_alpha 90.00
_cell_angle_beta 90.00
_cell_angle_gamma 90.00
_symmetry_space_group_name_H-M 'C m m m'
_symmetry_Int_Tables_number 65
_symmetry_space_group_name_Hall '-C 2 2'
loop_
_atom_site_label
_atom_site_type_symbol
_atom_site_fract_x
_atom_site_fract_y
_atom_site_fract_z
_atom_site_occupancy
Hf1 Hf 0.0000 0.0744 0.0000 1
Hf2 Hf 0.0000 0.3615 0.5000 1
Tl1 Tl 0.0000 0.5000 0.5000 1
Cd1 Cd 0.0000 0.2110 0.0000 1
```

***

Q: Which formula does entry 3 have?
A: Hf4TlCd2